# 1
ThSb3Au3: computed PXRD pattern (Cu Kα X-rays), based on the GGA-PBE geometry in Alexandria.

Atomic structure:
a b c (Å): 7.4890 7.4890 7.4890
angles (deg): 90.00 90.00 90.00
Element x y z (fractional)
Th: 0.0000 0.0000 0.0000
Th: 0.5000 0.5000 0.5000
Sb: 0.0000 0.2500 0.5000
Sb: 0.0000 0.7500 0.5000
Sb: 0.2500 0.5000 0.0000
Sb: 0.5000 0.0000 0.2500
Sb: 0.5000 0.0000 0.7500
Sb: 0.7500 0.5000 0.0000
Au: 0.0000 0.5000 0.2500
Au: 0.0000 0.5000 0.7500
Au: 0.2500 0.0000 0.5000
Au: 0.5000 0.2500 0.0000
Au: 0.5000 0.7500 0.0000
Au: 0.7500 0.0000 0.5000

Largest 8 diffraction maxima, sorted by position, 2θ from 10° to 90°:
| 2θ (°) | d (Å) | Rel. int. |
| --- | --- | --- |
| 23.8 | 3.745 | 42 |
| 29.2 | 3.057 | 100 |
| 41.8 | 2.162 | 23 |
| 45.3 | 2.002 | 61 |
| 48.6 | 1.872 | 30 |
| 68.6 | 1.367 | 18 |
| 71.2 | 1.324 | 19 |
| 78.8 | 1.215 | 19 |

# 2
Ti2Sb2Au: computed PXRD pattern (Cu Kα X-rays), based on the GGA-PBE geometry in Alexandria.

Atomic structure:
a b c (Å): 7.3645 7.3645 3.7679
angles (deg): 90.00 90.00 90.00
Element x y z (fractional)
Ti: 0.1394 0.3606 0.0000
Ti: 0.3606 0.8606 0.0000
Ti: 0.6394 0.1394 0.0000
Ti: 0.8606 0.6394 0.0000
Sb: 0.1587 0.6587 0.5000
Sb: 0.3413 0.1587 0.5000
Sb: 0.6587 0.8413 0.5000
Sb: 0.8413 0.3413 0.5000
Au: 0.0000 0.0000 0.0000
Au: 0.5000 0.5000 0.0000

Largest 8 diffraction maxima, sorted by position, 2θ from 10° to 90°:
| 2θ (°) | d (Å) | Rel. int. |
| --- | --- | --- |
| 29.3 | 3.053 | 70 |
| 34.0 | 2.634 | 71 |
| 34.4 | 2.604 | 26 |
| 36.2 | 2.480 | 100 |
| 38.7 | 2.329 | 92 |
| 48.3 | 1.884 | 24 |
| 58.5 | 1.577 | 25 |
| 63.5 | 1.465 | 42 |

# 3
Tl4SbAu5: computed PXRD pattern (Cu Kα X-rays), based on the GGA-PBE geometry in Alexandria.

Atomic structure:
a b c (Å): 5.9602 7.1434 7.2068
angles (deg): 81.02 66.70 65.57
Element x y z (fractional)
Tl: 0.0000 0.0000 0.0000
Tl: 0.1754 0.2151 0.4379
Tl: 0.3962 0.3896 0.8240
Tl: 0.7799 0.8254 0.6136
Sb: 0.5866 0.6076 0.2189
Au: 0.0863 0.6074 0.2188
Au: 0.3023 0.7872 0.6065
Au: 0.4821 0.9969 0.0403
Au: 0.6934 0.2183 0.3974
Au: 0.8734 0.4279 0.8315

Largest 8 diffraction maxima, sorted by position, 2θ from 10° to 90°:
| 2θ (°) | d (Å) | Rel. int. |
| --- | --- | --- |
| 30.0 | 2.979 | 100 |
| 30.4 | 2.939 | 92 |
| 30.5 | 2.929 | 92 |
| 42.8 | 2.113 | 37 |
| 43.2 | 2.094 | 71 |
| 43.4 | 2.083 | 36 |
| 43.7 | 2.072 | 35 |
| 53.9 | 1.700 | 37 |

# 4
Tl2SbAu6: computed PXRD pattern (Cu Kα X-rays), based on the GGA-PBE geometry in Alexandria.

Atomic structure:
a b c (Å): 6.5312 6.5312 5.6851
angles (deg): 100.73 100.73 61.80
Element x y z (fractional)
Tl: 0.1197 0.1197 0.2773
Tl: 0.8803 0.8803 0.7227
Sb: 0.5000 0.5000 0.5000
Au: 0.0587 0.6337 0.2316
Au: 0.3663 0.9413 0.7684
Au: 0.3776 0.3776 0.8743
Au: 0.6224 0.6224 0.1257
Au: 0.6337 0.0587 0.2316
Au: 0.9413 0.3663 0.7684

Largest 8 diffraction maxima, sorted by position, 2θ from 10° to 90°:
| 2θ (°) | d (Å) | Rel. int. |
| --- | --- | --- |
| 32.3 | 2.775 | 38 |
| 32.7 | 2.735 | 55 |
| 33.6 | 2.668 | 99 |
| 34.3 | 2.616 | 49 |
| 37.0 | 2.432 | 100 |
| 41.0 | 2.201 | 27 |
| 56.7 | 1.624 | 21 |
| 67.7 | 1.384 | 22 |

# 5
Tl2Sb2Au5: computed PXRD pattern (Cu Kα X-rays), based on the GGA-PBE geometry in Alexandria.

Atomic structure:
a b c (Å): 7.1454 7.1454 8.8841
angles (deg): 119.67 119.67 38.56
Element x y z (fractional)
Tl: 0.1454 0.1454 0.3358
Tl: 0.8546 0.8546 0.6642
Sb: 0.3655 0.3655 0.1699
Sb: 0.6345 0.6345 0.8301
Au: 0.1102 0.1102 0.9671
Au: 0.4018 0.4018 0.5163
Au: 0.5000 0.5000 0.0000
Au: 0.5982 0.5982 0.4837
Au: 0.8898 0.8898 0.0329

Largest 8 diffraction maxima, sorted by position, 2θ from 10° to 90°:
| 2θ (°) | d (Å) | Rel. int. |
| --- | --- | --- |
| 21.4 | 4.156 | 68 |
| 23.5 | 3.782 | 32 |
| 31.1 | 2.871 | 46 |
| 34.6 | 2.595 | 47 |
| 36.1 | 2.486 | 100 |
| 38.1 | 2.360 | 64 |
| 39.4 | 2.285 | 83 |
| 41.4 | 2.179 | 41 |

# 6
Tl3Sb2Au3: computed PXRD pattern (Cu Kα X-rays), based on the GGA-PBE geometry in Alexandria.

Atomic structure:
a b c (Å): 8.1657 16.0031 7.0574
angles (deg): 90.00 90.00 90.00
Element x y z (fractional)
Tl: 0.0103 0.1153 0.1025
Tl: 0.0103 0.3847 0.1025
Tl: 0.1950 0.2500 0.5611
Tl: 0.3050 0.7500 0.0611
Tl: 0.4897 0.6153 0.6025
Tl: 0.4897 0.8847 0.6025
Tl: 0.5103 0.1153 0.3975
Tl: 0.5103 0.3847 0.3975
Tl: 0.6950 0.2500 0.9389
Tl: 0.8050 0.7500 0.4389
Tl: 0.9897 0.6153 0.8975
Tl: 0.9897 0.8847 0.8975
Sb: 0.0910 0.5943 0.4058
Sb: 0.0910 0.9057 0.4058
Sb: 0.4090 0.0943 0.9058
Sb: 0.4090 0.4057 0.9058
Sb: 0.5910 0.5943 0.0942
Sb: 0.5910 0.9057 0.0942
Sb: 0.9090 0.0943 0.5942
Sb: 0.9090 0.4057 0.5942
Au: 0.2201 0.7500 0.4812
Au: 0.2289 0.0233 0.6323
Au: 0.2289 0.4767 0.6323
Au: 0.2711 0.5233 0.1323
Au: 0.2711 0.9767 0.1323
Au: 0.2799 0.2500 0.9812
Au: 0.7201 0.7500 0.0188
Au: 0.7289 0.0233 0.8677
Au: 0.7289 0.4767 0.8677
Au: 0.7711 0.5233 0.3677
Au: 0.7711 0.9767 0.3677
Au: 0.7799 0.2500 0.5188

Largest 8 diffraction maxima, sorted by position, 2θ from 10° to 90°:
| 2θ (°) | d (Å) | Rel. int. |
| --- | --- | --- |
| 27.5 | 3.240 | 20 |
| 27.9 | 3.202 | 22 |
| 28.1 | 3.175 | 38 |
| 31.3 | 2.858 | 100 |
| 32.3 | 2.769 | 32 |
| 35.3 | 2.540 | 30 |
| 35.7 | 2.518 | 26 |
| 45.4 | 2.000 | 20 |

# 7
TlSbAu: computed PXRD pattern (Cu Kα X-rays), based on the GGA-PBE geometry in Alexandria.

Atomic structure:
a b c (Å): 6.7167 14.8681 6.6413
angles (deg): 90.00 90.00 90.00
Element x y z (fractional)
Tl: 0.0692 0.2050 0.0000
Tl: 0.1278 0.9706 0.2764
Tl: 0.3722 0.4706 0.7764
Tl: 0.4308 0.7050 0.5000
Tl: 0.5692 0.2950 0.0000
Tl: 0.6278 0.5294 0.2764
Tl: 0.8722 0.0294 0.7764
Tl: 0.9308 0.7950 0.5000
Sb: 0.1012 0.4268 0.2708
Sb: 0.1594 0.6804 0.0245
Sb: 0.3406 0.1804 0.5245
Sb: 0.3988 0.9268 0.7708
Sb: 0.6012 0.0732 0.2708
Sb: 0.6594 0.8196 0.0245
Sb: 0.8406 0.3196 0.5245
Sb: 0.8988 0.5732 0.7708
Au: 0.0436 0.6071 0.3886
Au: 0.0461 0.8560 0.9165
Au: 0.4539 0.3560 0.4165
Au: 0.4564 0.1071 0.8886
Au: 0.5436 0.8929 0.3886
Au: 0.5461 0.6440 0.9165
Au: 0.9539 0.1440 0.4165
Au: 0.9564 0.3929 0.8886

Largest 8 diffraction maxima, sorted by position, 2θ from 10° to 90°:
| 2θ (°) | d (Å) | Rel. int. |
| --- | --- | --- |
| 26.8 | 3.321 | 47 |
| 29.5 | 3.032 | 98 |
| 29.8 | 2.997 | 60 |
| 30.6 | 2.921 | 47 |
| 32.2 | 2.780 | 100 |
| 33.0 | 2.718 | 71 |
| 41.1 | 2.194 | 100 |
| 44.8 | 2.023 | 76 |

# 8
TlSbAu4: computed PXRD pattern (Cu Kα X-rays), based on the GGA-PBE geometry in Alexandria.

Atomic structure:
a b c (Å): 11.2836 11.2836 5.7384
angles (deg): 90.00 90.00 155.67
Element x y z (fractional)
Tl: 0.0904 0.9096 0.7500
Tl: 0.9096 0.0904 0.2500
Sb: 0.3953 0.6047 0.7500
Sb: 0.6047 0.3953 0.2500
Au: 0.1679 0.8321 0.2500
Au: 0.2848 0.7152 0.0081
Au: 0.2848 0.7152 0.4919
Au: 0.5000 0.5000 0.0000
Au: 0.5000 0.5000 0.5000
Au: 0.7152 0.2848 0.5081
Au: 0.7152 0.2848 0.9919
Au: 0.8321 0.1679 0.7500

Largest 8 diffraction maxima, sorted by position, 2θ from 10° to 90°:
| 2θ (°) | d (Å) | Rel. int. |
| --- | --- | --- |
| 27.2 | 3.277 | 70 |
| 27.6 | 3.234 | 82 |
| 35.3 | 2.545 | 100 |
| 36.8 | 2.441 | 61 |
| 37.8 | 2.377 | 84 |
| 41.4 | 2.179 | 69 |
| 42.1 | 2.146 | 69 |
| 52.7 | 1.737 | 76 |

# 9
TlSb2Au3: computed PXRD pattern (Cu Kα X-rays), based on the GGA-PBE geometry in Alexandria.

Atomic structure:
a b c (Å): 6.5580 6.8580 7.0320
angles (deg): 90.00 91.98 90.00
Element x y z (fractional)
Tl: 0.1746 0.2500 0.2193
Tl: 0.8254 0.7500 0.7807
Sb: 0.3111 0.5018 0.7404
Sb: 0.3111 0.9982 0.7404
Sb: 0.6889 0.0018 0.2596
Sb: 0.6889 0.4982 0.2596
Au: 0.0191 0.7500 0.2299
Au: 0.3971 0.7500 0.4424
Au: 0.3982 0.7500 0.0428
Au: 0.6018 0.2500 0.9572
Au: 0.6029 0.2500 0.5576
Au: 0.9809 0.2500 0.7701

Largest 8 diffraction maxima, sorted by position, 2θ from 10° to 90°:
| 2θ (°) | d (Å) | Rel. int. |
| --- | --- | --- |
| 26.0 | 3.429 | 89 |
| 29.3 | 3.053 | 60 |
| 30.2 | 2.957 | 100 |
| 31.9 | 2.805 | 98 |
| 32.3 | 2.773 | 74 |
| 38.9 | 2.317 | 73 |
| 39.5 | 2.280 | 83 |
| 48.6 | 1.875 | 48 |

# 10
Tl3SbAu2: computed PXRD pattern (Cu Kα X-rays), based on the GGA-PBE geometry in Alexandria.

Atomic structure:
a b c (Å): 8.5934 10.4439 9.3015
angles (deg): 90.00 122.70 90.00
Element x y z (fractional)
Tl: 0.1441 0.2061 0.3229
Tl: 0.1441 0.2939 0.8229
Tl: 0.2332 0.5046 0.1716
Tl: 0.2332 0.9954 0.6716
Tl: 0.2338 0.5042 0.5625
Tl: 0.2338 0.9958 0.0625
Tl: 0.7662 0.0042 0.9375
Tl: 0.7662 0.4958 0.4375
Tl: 0.7668 0.0046 0.3284
Tl: 0.7668 0.4954 0.8284
Tl: 0.8559 0.7061 0.1771
Tl: 0.8559 0.7939 0.6771
Sb: 0.3790 0.7393 0.4390
Sb: 0.3790 0.7607 0.9390
Sb: 0.6210 0.2393 0.0610
Sb: 0.6210 0.2607 0.5610
Au: 0.1152 0.5745 0.8078
Au: 0.1152 0.9255 0.3078
Au: 0.4215 0.2505 0.2115
Au: 0.4215 0.2495 0.7115
Au: 0.5785 0.7505 0.2885
Au: 0.5785 0.7495 0.7885
Au: 0.8848 0.0745 0.6922
Au: 0.8848 0.4255 0.1922

Largest 8 diffraction maxima, sorted by position, 2θ from 10° to 90°:
| 2θ (°) | d (Å) | Rel. int. |
| --- | --- | --- |
| 21.0 | 4.233 | 61 |
| 22.7 | 3.912 | 65 |
| 30.1 | 2.973 | 63 |
| 32.5 | 2.753 | 75 |
| 34.3 | 2.611 | 61 |
| 35.5 | 2.530 | 97 |
| 35.8 | 2.505 | 99 |
| 40.9 | 2.207 | 100 |

# 11
TlSb4Au5: computed PXRD pattern (Cu Kα X-rays), based on the GGA-PBE geometry in Alexandria.

Atomic structure:
a b c (Å): 7.7495 14.0180 4.7156
angles (deg): 90.00 90.00 90.00
Element x y z (fractional)
Tl: 0.2500 0.2500 0.0503
Tl: 0.7500 0.7500 0.9497
Sb: 0.0393 0.7500 0.4577
Sb: 0.2500 0.5040 0.6868
Sb: 0.2500 0.9960 0.6868
Sb: 0.4607 0.7500 0.4577
Sb: 0.5393 0.2500 0.5423
Sb: 0.7500 0.0040 0.3132
Sb: 0.7500 0.4960 0.3132
Sb: 0.9607 0.2500 0.5423
Au: 0.0571 0.5814 0.1557
Au: 0.0571 0.9186 0.1557
Au: 0.2500 0.7500 0.9367
Au: 0.4429 0.5814 0.1557
Au: 0.4429 0.9186 0.1557
Au: 0.5571 0.0814 0.8443
Au: 0.5571 0.4186 0.8443
Au: 0.7500 0.2500 0.0633
Au: 0.9429 0.0814 0.8443
Au: 0.9429 0.4186 0.8443

Largest 8 diffraction maxima, sorted by position, 2θ from 10° to 90°:
| 2θ (°) | d (Å) | Rel. int. |
| --- | --- | --- |
| 18.8 | 4.716 | 30 |
| 26.9 | 3.319 | 58 |
| 30.5 | 2.928 | 32 |
| 32.5 | 2.753 | 100 |
| 38.5 | 2.336 | 32 |
| 39.6 | 2.276 | 33 |
| 39.8 | 2.264 | 41 |
| 43.0 | 2.105 | 42 |